Theoretical X-ray diffraction stick pattern
Compound: Cs2CoCuO4
Radiation: Cu Kα (weighted mean of Kα1 and Kα2)
Structure: a PBE+U-relaxed structure
Lines closer than 0.1° are merged.

Largest 12 diffraction maxima, sorted by position, 2θ = 5–70°:
- 4.555 Å, 2θ = 19.49°, intensity 147
- 3.914 Å, 2θ = 22.72°, intensity 448
- 3.173 Å, 2θ = 28.12°, intensity 212
- 3.127 Å, 2θ = 28.54°, intensity 1000
- 2.933 Å, 2θ = 30.48°, intensity 364
- 2.578 Å, 2θ = 34.80°, intensity 200
- 2.330 Å, 2θ = 38.64°, intensity 274
- 2.138 Å, 2θ = 42.26°, intensity 186
- 2.060 Å, 2θ = 43.95°, intensity 215
- 1.806 Å, 2θ = 50.54°, intensity 183
- 1.721 Å, 2θ = 53.22°, intensity 235
- 1.605 Å, 2θ = 57.42°, intensity 127

Structure:
a = 12.5023 Å, b = 11.1087 Å, c = 6.7458 Å
α = 85.18°, β = 62.30°, γ = 32.52°
Element x y z (fractional)
Cs: 0.0486 0.0486 0.7014
Cs: 0.2986 0.2986 0.9514
Cs: 0.7014 0.7014 0.0486
Cs: 0.9514 0.9514 0.2986
Co: 0.3750 0.3750 0.3750
Co: 0.6250 0.6250 0.6250
Cu: 0.1250 0.1250 0.1250
Cu: 0.8750 0.8750 0.8750
O: 0.0146 0.6495 0.5643
O: 0.2716 0.5643 0.6495
O: 0.3505 0.9854 0.7284
O: 0.4357 0.7284 0.9854
O: 0.5643 0.2716 0.0146
O: 0.6495 0.0146 0.2716
O: 0.7284 0.4357 0.3505
O: 0.9854 0.3505 0.4357